Simulated XRD peak list
Compound: PrHo2B6
Radiation: CuKα
Structure: a crystal structure in Alexandria, relaxed with GGA-PBE
Lines closer than 0.1° are merged.

Cell and atoms:
Lattice parameters (Å, degrees): 5.7349 5.7349 3.9600 90.00 90.00 120.00
Space group P6/mmm (No. 191)
Inequivalent atoms, fractional coordinates:
Pr (0.0000, 0.0000, 0.0000)
Ho (0.3333, 0.6667, 0.0000)
B (0.0000, 0.3408, 0.5000)

Top 10 peaks for 10° ≤ 2θ ≤ 90°, low angle first:
22.5 deg, intensity 47, (0 0 1); 31.2 deg, intensity 73, (1 1 0); 38.8 deg, intensity 100, (1 1 1); 45.8 deg, intensity 11, (0 0 2); 55.5 deg, intensity 19, (3 0 0); 56.5 deg, intensity 28, (1 1 2); 60.6 deg, intensity 21, (3 0 1); 69.8 deg, intensity 18, (2 2 1); 74.7 deg, intensity 16, (3 0 2); 80.0 deg, intensity 12, (1 1 3)

Simulated XRD peak list
Compound: HoB3Pt6
Radiation: CuKα
Structure: a crystal structure in Alexandria, relaxed with GGA-PBE
Lines closer than 0.1° are merged.

Cell and atoms:
Lattice parameters (Å, degrees): 5.5858 5.6022 5.7362 109.07 91.13 119.44
Space group P1 (No. 1)
Inequivalent atoms, fractional coordinates:
Ho (0.0000, 0.0000, 0.0000)
B (0.1225, 0.2312, 0.5055)
B (0.3499, 0.7313, 0.1369)
B (0.6987, 0.4088, 0.1513)
Pt (0.0912, 0.5636, 0.3817)
Pt (0.4620, 0.9457, 0.8598)
Pt (0.4708, 0.1766, 0.3837)
Pt (0.4762, 0.4561, 0.8673)
Pt (0.7148, 0.8116, 0.4016)
Pt (0.9575, 0.4078, 0.8155)

Top 10 peaks for 10° ≤ 2θ ≤ 90°, low angle first:
32.1 deg, intensity 41, (2 -1 0); 32.5 deg, intensity 23, (1 -2 1); 33.9 deg, intensity 100, (0 0 2); 36.7 deg, intensity 23, (2 -1 1); 36.9 deg, intensity 47, (0 2 -1); 37.9 deg, intensity 83, (2 -2 0); 38.6 deg, intensity 23, (2 -2 1); 38.9 deg, intensity 26, (1 1 -2); 43.3 deg, intensity 25, (1 1 1); 46.9 deg, intensity 19, (-2 1 2)

Simulated XRD peak list
Compound: Ho2BPt5
Radiation: CuKα
Structure: a crystal structure in Alexandria, relaxed with GGA-PBE
Lines closer than 0.1° are merged.

Cell and atoms:
Lattice parameters (Å, degrees): 10.1342 5.7685 5.7823 90.00 119.94 90.00
Space group Cm (No. 8)
Inequivalent atoms, fractional coordinates:
Ho (0.0000, 0.0000, 0.0000)
Ho (0.9998, 0.5000, 0.4704)
B (0.2156, 0.5000, 0.2160)
Pt (0.2436, 0.2461, 0.9762)
Pt (0.2541, 0.2438, 0.4983)
Pt (0.4750, 0.0000, 0.9449)

Top 10 peaks for 10° ≤ 2θ ≤ 90°, low angle first:
18.4 deg, intensity 14, (1 1 0); 35.8 deg, intensity 56, (0 0 2); 37.3 deg, intensity 100, (2 2 0); 38.8 deg, intensity 45, (4 0 -2); 41.1 deg, intensity 38, (4 0 0); 44.4 deg, intensity 63, (2 2 -2); 60.1 deg, intensity 23, (2 2 2); 64.1 deg, intensity 21, (6 2 -2); 64.7 deg, intensity 20, (0 4 0); 72.4 deg, intensity 13, (6 2 0)

Simulated XRD peak list
Compound: HoBPt5
Radiation: CuKα
Structure: a crystal structure in Alexandria, relaxed with GGA-PBE
Lines closer than 0.1° are merged.

Cell and atoms:
Lattice parameters (Å, degrees): 3.9313 3.9313 7.0778 90.00 90.00 90.00
Space group P4/mmm (No. 123)
Inequivalent atoms, fractional coordinates:
Ho (0.0000, 0.0000, 0.0000)
B (0.5000, 0.5000, 0.5000)
Pt (0.0000, 0.5000, 0.3094)
Pt (0.5000, 0.5000, 0.0000)

Top 10 peaks for 10° ≤ 2θ ≤ 90°, low angle first:
32.2 deg, intensity 19, (1 1 0); 34.7 deg, intensity 74, (1 1 1); 38.1 deg, intensity 39, (0 0 3); 41.3 deg, intensity 100, (1 1 2); 46.2 deg, intensity 54, (2 0 0); 61.4 deg, intensity 40, (2 0 3); 67.4 deg, intensity 18, (2 2 0); 75.3 deg, intensity 24, (1 1 5); 80.1 deg, intensity 19, (2 2 3); 82.2 deg, intensity 28, (3 1 2)

What did the first record say?
Simulated XRD peak list
Compound: PrHo2B6
Radiation: CuKα
Structure: a crystal structure in Alexandria, relaxed with GGA-PBE
Lines closer than 0.1° are merged.

Cell and atoms:
Lattice parameters (Å, degrees): 5.7349 5.7349 3.9600 90.00 90.00 120.00
Space group P6/mmm (No. 191)
Inequivalent atoms, fractional coordinates:
Pr (0.0000, 0.0000, 0.0000)
Ho (0.3333, 0.6667, 0.0000)
B (0.0000, 0.3408, 0.5000)

Top 10 peaks for 10° ≤ 2θ ≤ 90°, low angle first:
22.5 deg, intensity 47, (0 0 1); 31.2 deg, intensity 73, (1 1 0); 38.8 deg, intensity 100, (1 1 1); 45.8 deg, intensity 11, (0 0 2); 55.5 deg, intensity 19, (3 0 0); 56.5 deg, intensity 28, (1 1 2); 60.6 deg, intensity 21, (3 0 1); 69.8 deg, intensity 18, (2 2 1); 74.7 deg, intensity 16, (3 0 2); 80.0 deg, intensity 12, (1 1 3)